Structure and computed powder diffractogram of Tm2Ag2Hg3 (a cell relaxed with GGA-PBE; a wavelength of 1.5418 Å).

The 8 most intense peaks (5 to 70 degrees two-theta), in order of falling intensity:
35.3°, rel. 100; 36.6°, rel. 60; 36.7°, rel. 60; 36.9°, rel. 59; 32.5°, rel. 58; 26.8°, rel. 24; 32.8°, rel. 23; 68.1°, rel. 20

Structural model:
a b c (Å): 4.9118 3.3267 10.1406
angles (deg): 90.00 103.72 90.00
Space group P2/m (No. 10)
Inequivalent atoms, fractional coordinates:
Tm1 0.1419 0.0000 0.2832 (multiplicity 2)
Ag1 0.4292 0.5000 0.8557 (multiplicity 2)
Hg1 0.0000 0.5000 0.0000 (multiplicity 1)
Hg2 0.2871 0.5000 0.5751 (multiplicity 2)